Simulated XRD peak list of Ca3La3Pm for Cu Kα X-rays, from DFT lattice parameters and positions (PBE).
Lines closer than 0.1° are merged.

Structure:
Cell lengths 10.161, 10.161, 6.034 Å; angles 90.00, 90.00, 120.00 degrees
Element x y z (fractional)
Ca1 0.059 0.810 0.250
Ca2 0.190 0.249 0.250
Ca3 0.249 0.059 0.750
Ca4 0.751 0.941 0.250
Ca5 0.810 0.751 0.750
Ca6 0.941 0.190 0.750
La1 0.106 0.613 0.750
La2 0.387 0.494 0.750
La3 0.494 0.106 0.250
La4 0.506 0.894 0.750
La5 0.613 0.506 0.250
La6 0.894 0.387 0.250
Pm1 0.333 0.667 0.250
Pm2 0.667 0.333 0.750

Largest 8 diffraction maxima, most intense first, 2θ from 5° to 70°:
2θ/deg, I (rel.), hkl
30.69, 100, 1 2 1
10.05, 39, 1 0 0
29.61, 24, 0 0 2
26.80, 23, 1 2 0
53.22, 21, 1 2 3
56.84, 20, 4 1 2
47.34, 17, 4 1 0
40.36, 15, 1 2 2